Structure and simulated powder X-ray diffraction pattern of Sr2CuSi2Pd3 (DFT lattice parameters and positions (GGA-PBE); λ = 1.5418 Å (Cu Kα)).
Intensities are scaled so that the largest is 1000.

Peak list (8 most intense, 10° ≤ 2θ ≤ 80°, in order of rising 2θ)
16.6°, d = 5.339 Å, I = 286; 24.1°, d = 3.694 Å, I = 400; 35.0°, d = 2.563 Å, I = 1000; 42.4°, d = 2.133 Å, I = 666; 55.1°, d = 1.666 Å, I = 222; 56.1°, d = 1.639 Å, I = 250; 66.3°, d = 1.410 Å, I = 170; 72.8°, d = 1.300 Å, I = 227

Crystal structure
```
data_Sr2CuSi2Pd3
_symmetry_space_group_name_H-M 'P 3 m 1'
_symmetry_Int_Tables_number 156
_symmetry_space_group_name_Hall 'P 3 -2"'
_cell_length_a 4.2651
_cell_length_b 4.2651
_cell_length_c 10.6783
_cell_angle_alpha 90.00
_cell_angle_beta 90.00
_cell_angle_gamma 120.00
loop_
_atom_site_label
_atom_site_type_symbol
_atom_site_fract_x
_atom_site_fract_y
_atom_site_fract_z
Sr1 Sr 0.0000 0.0000 0.0000
Sr2 Sr 0.3333 0.6667 0.5009
Cu1 Cu 0.0000 0.0000 0.2901
Si1 Si 0.6667 0.3333 0.2427
Si2 Si 0.6667 0.3333 0.7480
Pd1 Pd 0.0000 0.0000 0.6948
Pd2 Pd 0.3333 0.6667 0.2113
Pd3 Pd 0.3333 0.6667 0.8016
```


Structure and simulated powder X-ray diffraction pattern of ZrReNi6 (DFT lattice parameters and positions (GGA-PBE); λ = 1.5418 Å (Cu Kα)).
Intensities are scaled so that the largest is 1000.

Peak list (8 most intense, 10° ≤ 2θ ≤ 80°, in order of rising 2θ)
19.9°, d = 4.464 Å, I = 152; 29.0°, d = 3.084 Å, I = 192; 34.8°, d = 2.577 Å, I = 73; 40.4°, d = 2.232 Å, I = 254; 42.4°, d = 2.133 Å, I = 283; 45.9°, d = 1.978 Å, I = 1000; 60.0°, d = 1.542 Å, I = 152; 73.5°, d = 1.289 Å, I = 150

Crystal structure
```
data_ZrReNi6
_symmetry_space_group_name_H-M 'P -6 m 2'
_symmetry_Int_Tables_number 187
_symmetry_space_group_name_Hall 'P -6 2'
_cell_length_a 5.1550
_cell_length_b 5.1550
_cell_length_c 4.2656
_cell_angle_alpha 90.00
_cell_angle_beta 90.00
_cell_angle_gamma 120.00
loop_
_atom_site_label
_atom_site_type_symbol
_atom_site_fract_x
_atom_site_fract_y
_atom_site_fract_z
Zr1 Zr 0.0000 0.0000 0.0000
Re1 Re 0.3333 0.6667 0.5000
Ni1 Ni 0.0061 0.5031 0.0000
Ni2 Ni 0.3541 0.1771 0.5000
```